Entry 1:
Theoretical PXRD pattern of SmPaAl2O8 for λ = 1.5418 Å (Cu Kα), from a DFT-relaxed cell (PBE, Alexandria).
Neutral-atom scattering factors, no anomalous dispersion.

Peak list (8 most intense, 2θ = 15–90°, in order of rising 2θ)
- 4.806 Å, I = 100
- 3.515 Å, I = 93
- 2.837 Å, I = 38
- 2.745 Å, I = 73
- 2.485 Å, I = 21
- 2.208 Å, I = 25
- 1.869 Å, I = 23
- 1.842 Å, I = 60

Crystal structure
Cell: 5.9624 5.9624 5.9624 Å, 107.76 107.76 112.95°
Positions (direct):
1 Sm 0.0000 0.0000 0.0000
2 Pa 0.2500 0.7500 0.5000
3 Al 0.5000 0.5000 0.0000
4 Al 0.7500 0.2500 0.5000
5 O 0.3214 0.1305 0.8091
6 O 0.3214 0.5123 0.1909
7 O 0.3851 0.0618 0.3233
8 O 0.4877 0.6786 0.8091
9 O 0.7385 0.0618 0.6767
10 O 0.8695 0.6786 0.1909
11 O 0.9382 0.2615 0.3233
12 O 0.9382 0.6149 0.6767

=====

Entry 2:
Theoretical PXRD pattern of Sc4AlPbO for λ = 1.5418 Å (Cu Kα), from a DFT-relaxed cell (PBE, Alexandria).
Neutral-atom scattering factors, no anomalous dispersion.

Peak list (8 most intense, 2θ = 15–90°, in order of rising 2θ)
- 5.667 Å, I = 76
- 4.770 Å, I = 73
- 3.293 Å, I = 44
- 3.053 Å, I = 57
- 2.835 Å, I = 45
- 2.546 Å, I = 36
- 2.384 Å, I = 100
- 2.159 Å, I = 63

Crystal structure
Cell: 8.2241 8.2241 6.1086 Å, 90.00 90.00 136.45°
Positions (direct):
1 Sc 0.0000 0.5000 0.0000
2 Sc 0.0000 0.5000 0.5000
3 Sc 0.0840 0.9160 0.7500
4 Sc 0.4073 0.5927 0.7500
5 Sc 0.5000 0.0000 0.0000
6 Sc 0.5000 0.0000 0.5000
7 Sc 0.5927 0.4073 0.2500
8 Sc 0.9160 0.0840 0.2500
9 Al 0.1119 0.8881 0.2500
10 Al 0.8881 0.1119 0.7500
11 Pb 0.3968 0.6032 0.2500
12 Pb 0.6032 0.3968 0.7500
13 O 0.2506 0.7494 0.7500
14 O 0.7494 0.2506 0.2500

=====

Entry 3:
Theoretical PXRD pattern of Al2Si2Pb2O9 for λ = 1.5418 Å (Cu Kα), from a DFT-relaxed cell (PBE, Alexandria).
Neutral-atom scattering factors, no anomalous dispersion.

Peak list (8 most intense, 2θ = 15–90°, in order of rising 2θ)
- 5.424 Å, I = 73
- 4.933 Å, I = 56
- 3.649 Å, I = 66
- 3.211 Å, I = 66
- 3.149 Å, I = 66
- 2.869 Å, I = 100
- 2.849 Å, I = 50
- 2.691 Å, I = 81

Crystal structure
Cell: 6.9810 10.8481 9.8651 Å, 90.00 90.00 90.00°
Positions (direct):
1 Al 0.0000 0.0000 0.0000
2 Al 0.0000 0.0000 0.5000
3 Al 0.0000 0.1461 0.2500
4 Al 0.0000 0.8539 0.7500
5 Al 0.5000 0.3539 0.7500
6 Al 0.5000 0.5000 0.0000
7 Al 0.5000 0.5000 0.5000
8 Al 0.5000 0.6461 0.2500
9 Si 0.2165 0.4118 0.2484
10 Si 0.2165 0.5882 0.7484
11 Si 0.2835 0.0882 0.7484
12 Si 0.2835 0.9118 0.2484
13 Si 0.7165 0.0882 0.7516
14 Si 0.7165 0.9118 0.2516
15 Si 0.7835 0.4118 0.2516
16 Si 0.7835 0.5882 0.7516
17 Pb 0.0526 0.3032 0.5488
18 Pb 0.0526 0.6968 0.0488
19 Pb 0.4474 0.1968 0.0488
20 Pb 0.4474 0.8032 0.5488
21 Pb 0.5526 0.1968 0.4512
22 Pb 0.5526 0.8032 0.9512
23 Pb 0.9474 0.3032 0.9512
24 Pb 0.9474 0.6968 0.4512
25 O 0.0000 0.4776 0.2500
26 O 0.0000 0.5224 0.7500
27 O 0.1083 0.1407 0.0778
28 O 0.1083 0.8593 0.5778
29 O 0.1521 0.0066 0.3366
30 O 0.1521 0.9934 0.8366
31 O 0.1846 0.2739 0.3156
32 O 0.1846 0.7261 0.8156
33 O 0.1938 0.1053 0.5957
34 O 0.1938 0.8947 0.0957
35 O 0.3062 0.3947 0.0957
36 O 0.3062 0.6053 0.5957
37 O 0.3154 0.2261 0.8156
38 O 0.3154 0.7739 0.3156
39 O 0.3479 0.4934 0.8366
40 O 0.3479 0.5066 0.3366
41 O 0.3917 0.3593 0.5778
42 O 0.3917 0.6407 0.0778
43 O 0.5000 0.0224 0.7500
44 O 0.5000 0.9776 0.2500
45 O 0.6083 0.3593 0.9222
46 O 0.6083 0.6407 0.4222
47 O 0.6521 0.4934 0.6634
48 O 0.6521 0.5066 0.1634
49 O 0.6846 0.2261 0.6844
50 O 0.6846 0.7739 0.1844
51 O 0.6938 0.3947 0.4043
52 O 0.6938 0.6053 0.9043
53 O 0.8062 0.1053 0.9043
54 O 0.8062 0.8947 0.4043
55 O 0.8154 0.2739 0.1844
56 O 0.8154 0.7261 0.6844
57 O 0.8479 0.0066 0.1634
58 O 0.8479 0.9934 0.6634
59 O 0.8917 0.1407 0.4222
60 O 0.8917 0.8593 0.9222

=====

Number 2 is which compound? Sc4AlPbO

=====

Number 2 is which compound? Sc4AlPbO